# TlFe2CuI8
Calculated powder XRD pattern, Cu Kα X-rays. Input: a crystal structure in Alexandria, relaxed with GGA-PBE.
Intensities are scaled so that the largest is 100.

Structure:
Lattice parameters (Å, degrees): 7.1945 7.1945 10.1329 94.31 94.31 70.65
Atoms (fractional coordinates):
Tl1 0.0000 0.0000 0.0000
Fe1 0.3735 0.3735 0.7244
Fe2 0.6265 0.6265 0.2756
Cu1 0.0000 0.0000 0.5000
I1 0.2303 0.2303 0.5163
I2 0.2470 0.7461 0.2879
I3 0.2539 0.7530 0.7121
I4 0.2923 0.2923 0.9476
I5 0.7077 0.7077 0.0524
I6 0.7461 0.2470 0.2879
I7 0.7530 0.2539 0.7121
I8 0.7697 0.7697 0.4837

Top 10 peaks for 2θ from 15° to 90°, most intense first:
2theta, d [Å], I (rel.)
27.80, 3.210, 100
26.29, 3.389, 51
43.06, 2.101, 51
40.50, 2.227, 35
30.59, 2.922, 35
43.50, 2.080, 27
24.34, 3.656, 27
21.37, 4.158, 25
22.52, 3.947, 24
25.24, 3.529, 23

---

# Tb3Sm4Ir4
Calculated powder XRD pattern, Cu Kα X-rays. Input: a crystal structure in Alexandria, relaxed with GGA-PBE.
Intensities are scaled so that the largest is 100.

Structure:
Lattice parameters (Å, degrees): 9.4686 9.4686 9.4686 156.59 125.08 60.50
Atoms (fractional coordinates):
Tb1 0.0000 0.0000 0.0000
Tb2 0.4017 0.9017 0.5000
Tb3 0.5983 0.0983 0.5000
Sm1 0.0227 0.3340 0.6888
Sm2 0.3548 0.6660 0.6888
Sm3 0.6452 0.3340 0.3112
Sm4 0.9773 0.6660 0.3112
Ir1 0.2565 0.2565 0.0000
Ir2 0.2843 0.5000 0.7843
Ir3 0.7157 0.5000 0.2157
Ir4 0.7435 0.7435 0.0000

Top 10 peaks for 2θ from 15° to 90°, most intense first:
2theta, d [Å], I (rel.)
31.50, 2.840, 100
33.61, 2.666, 87
38.95, 2.313, 48
34.94, 2.568, 47
40.41, 2.232, 37
62.70, 1.482, 32
36.06, 2.491, 31
47.32, 1.921, 30
62.89, 1.478, 24
60.16, 1.538, 20

---

# Sm2Al3InPt4
Calculated powder XRD pattern, Cu Kα X-rays. Input: a crystal structure in Alexandria, relaxed with GGA-PBE.
Intensities are scaled so that the largest is 100.

Structure:
Lattice parameters (Å, degrees): 4.2975 4.2975 10.7167 90.00 90.00 90.00
Atoms (fractional coordinates):
Sm1 0.0000 0.5000 0.2428
Sm2 0.5000 0.0000 0.7572
Al1 0.0000 0.5000 0.8783
Al2 0.5000 0.0000 0.1217
Al3 0.5000 0.5000 0.5000
In1 0.0000 0.0000 0.5000
Pt1 0.0000 0.0000 0.0000
Pt2 0.0000 0.5000 0.6495
Pt3 0.5000 0.0000 0.3505
Pt4 0.5000 0.5000 0.0000

Top 10 peaks for 2θ from 15° to 90°, most intense first:
2theta, d [Å], I (rel.)
33.91, 2.643, 100
42.05, 2.149, 50
32.60, 2.747, 28
26.59, 3.352, 26
30.58, 2.924, 25
71.64, 1.317, 23
47.40, 1.918, 23
45.12, 2.010, 19
60.99, 1.519, 18
65.20, 1.431, 18

---

# LaPm2NdY2
Calculated powder XRD pattern, Cu Kα X-rays. Input: a crystal structure in Alexandria, relaxed with GGA-PBE.
Intensities are scaled so that the largest is 100.

Structure:
Lattice parameters (Å, degrees): 6.6754 18.3384 3.4322 90.00 90.00 90.00
Atoms (fractional coordinates):
La1 0.0000 0.0000 0.0000
La2 0.5000 0.5000 0.5000
Pm1 0.2194 0.1862 0.0000
Pm2 0.2806 0.6862 0.5000
Pm3 0.7194 0.3138 0.5000
Pm4 0.7806 0.8138 0.0000
Nd1 0.0000 0.5000 0.0000
Nd2 0.5000 0.0000 0.5000
Y1 0.2166 0.3509 0.5000
Y2 0.2834 0.8509 0.0000
Y3 0.7166 0.1491 0.0000
Y4 0.7834 0.6491 0.5000

Top 10 peaks for 2θ from 15° to 90°, most intense first:
2theta, d [Å], I (rel.)
29.23, 3.055, 100
28.46, 3.136, 98
29.86, 2.993, 66
40.48, 2.228, 45
33.20, 2.698, 44
35.33, 2.541, 39
30.88, 2.896, 38
64.34, 1.448, 29
32.21, 2.779, 24
41.83, 2.160, 22

---

# TbTe2O5
Calculated powder XRD pattern, Cu Kα X-rays. Input: a crystal structure in Alexandria, relaxed with GGA-PBE.
Intensities are scaled so that the largest is 100.

Structure:
Lattice parameters (Å, degrees): 7.3614 10.7266 7.1243 90.00 90.00 90.00
Atoms (fractional coordinates):
Tb1 0.0000 0.0552 0.2500
Tb2 0.0000 0.9448 0.7500
Tb3 0.5000 0.4448 0.7500
Tb4 0.5000 0.5552 0.2500
Te1 0.1063 0.3517 0.0179
Te2 0.1063 0.6483 0.5179
Te3 0.3937 0.1483 0.5179
Te4 0.3937 0.8517 0.0179
Te5 0.6063 0.1483 0.9821
Te6 0.6063 0.8517 0.4821
Te7 0.8937 0.3517 0.4821
Te8 0.8937 0.6483 0.9821
O1 0.0000 0.4384 0.2500
O2 0.0000 0.5616 0.7500
O3 0.1604 0.0649 0.5290
O4 0.1604 0.9351 0.0290
O5 0.1840 0.2138 0.1704
O6 0.1840 0.7862 0.6704
O7 0.3160 0.2862 0.6704
O8 0.3160 0.7138 0.1704
O9 0.3396 0.4351 0.0290
O10 0.3396 0.5649 0.5290
O11 0.5000 0.0616 0.7500
O12 0.5000 0.9384 0.2500
O13 0.6604 0.4351 0.4710
O14 0.6604 0.5649 0.9710
O15 0.6840 0.2862 0.8296
O16 0.6840 0.7138 0.3296
O17 0.8160 0.2138 0.3296
O18 0.8160 0.7862 0.8296
O19 0.8396 0.0649 0.9710
O20 0.8396 0.9351 0.4710

Top 10 peaks for 2θ from 15° to 90°, most intense first:
2theta, d [Å], I (rel.)
29.07, 3.072, 100
24.03, 3.703, 79
27.74, 3.215, 73
28.54, 3.128, 73
19.21, 4.620, 41
30.50, 2.931, 36
42.45, 2.129, 32
59.35, 1.557, 29
24.18, 3.681, 28
50.91, 1.794, 26

---

# Tb6PmDy12
Calculated powder XRD pattern, Cu Kα X-rays. Input: a crystal structure in Alexandria, relaxed with GGA-PBE.
Intensities are scaled so that the largest is 100.

Structure:
Lattice parameters (Å, degrees): 8.8097 8.8097 8.8097 99.10 99.10 99.10
Atoms (fractional coordinates):
Tb1 0.2436 0.7062 0.7062
Tb2 0.2938 0.2938 0.7564
Tb3 0.2938 0.7564 0.2938
Tb4 0.7062 0.2436 0.7062
Tb5 0.7062 0.7062 0.2436
Tb6 0.7564 0.2938 0.2938
Pm1 0.5000 0.5000 0.5000
Dy1 0.0000 0.3825 0.6175
Dy2 0.0000 0.6175 0.3825
Dy3 0.0312 0.0312 0.3172
Dy4 0.0312 0.3172 0.0312
Dy5 0.3172 0.0312 0.0312
Dy6 0.3825 0.0000 0.6175
Dy7 0.3825 0.6175 0.0000
Dy8 0.6175 0.0000 0.3825
Dy9 0.6175 0.3825 0.0000
Dy10 0.6828 0.9688 0.9688
Dy11 0.9688 0.6828 0.9688
Dy12 0.9688 0.9688 0.6828

Top 10 peaks for 2θ from 15° to 90°, most intense first:
2theta, d [Å], I (rel.)
28.61, 3.121, 100
31.41, 2.848, 74
34.00, 2.637, 51
32.30, 2.771, 29
49.32, 1.848, 25
25.00, 3.562, 24
36.62, 2.454, 22
31.18, 2.868, 21
57.44, 1.604, 19
56.34, 1.633, 19

---

# Ca2MgPbF8
Calculated powder XRD pattern, Cu Kα X-rays. Input: a crystal structure in Alexandria, relaxed with GGA-PBE.
Intensities are scaled so that the largest is 100.

Structure:
Lattice parameters (Å, degrees): 4.0929 7.6312 5.4637 90.00 95.00 90.00
Atoms (fractional coordinates):
Ca1 0.0000 0.2328 0.0000
Ca2 0.0000 0.7672 0.0000
Mg1 0.5000 0.0000 0.5000
Pb1 0.5000 0.5000 0.5000
F1 0.0117 0.5000 0.7696
F2 0.0701 0.0000 0.2683
F3 0.4568 0.2170 0.7458
F4 0.4568 0.7830 0.7458
F5 0.5432 0.2170 0.2542
F6 0.5432 0.7830 0.2542
F7 0.9299 0.0000 0.7317
F8 0.9883 0.5000 0.2304

Top 10 peaks for 2θ from 15° to 90°, most intense first:
2theta, d [Å], I (rel.)
28.54, 3.128, 100
20.04, 4.431, 47
26.14, 3.409, 40
45.17, 2.007, 39
48.11, 1.891, 30
44.44, 2.039, 26
24.76, 3.596, 26
16.29, 5.443, 25
35.30, 2.543, 25
47.70, 1.906, 23

---

# Co3SnI9
Calculated powder XRD pattern, Cu Kα X-rays. Input: a crystal structure in Alexandria, relaxed with GGA-PBE.
Intensities are scaled so that the largest is 100.

Structure:
Lattice parameters (Å, degrees): 11.3169 11.3169 14.5708 124.99 124.99 53.04
Atoms (fractional coordinates):
Co1 0.0799 0.9201 0.5000
Co2 0.2831 0.4633 0.5391
Co3 0.4633 0.2831 0.0391
Co4 0.6787 0.9036 0.1618
Co5 0.9036 0.6787 0.6618
Co6 0.9201 0.0799 0.0000
Sn1 0.4165 0.8746 0.3279
Sn2 0.8746 0.4165 0.8279
I1 0.0399 0.0529 0.1993
I2 0.0529 0.0399 0.6993
I3 0.0703 0.8152 0.8657
I4 0.0948 0.4251 0.5562
I5 0.1193 0.6313 0.4052
I6 0.1949 0.4139 0.8977
I7 0.3040 0.9472 0.5257
I8 0.4139 0.1949 0.3977
I9 0.4251 0.0948 0.0562
I10 0.4852 0.5340 0.7423
I11 0.5340 0.4852 0.2423
I12 0.5953 0.7392 0.1627
I13 0.6313 0.1193 0.9052
I14 0.7233 0.8731 0.5527
I15 0.7392 0.5953 0.6627
I16 0.8152 0.0703 0.3657
I17 0.8731 0.7233 0.0527
I18 0.9472 0.3040 0.0257

Top 10 peaks for 2θ from 15° to 90°, most intense first:
2theta, d [Å], I (rel.)
23.77, 3.744, 100
25.75, 3.459, 90
15.16, 5.843, 69
24.89, 3.577, 65
16.53, 5.363, 40
26.20, 3.401, 36
27.14, 3.285, 30
28.98, 3.081, 29
35.26, 2.545, 26
32.45, 2.759, 24

---

# Dy4Er9Zn11
Calculated powder XRD pattern, Cu Kα X-rays. Input: a crystal structure in Alexandria, relaxed with GGA-PBE.
Intensities are scaled so that the largest is 100.

Structure:
Lattice parameters (Å, degrees): 12.9977 12.9977 3.4228 90.00 90.00 107.69
Atoms (fractional coordinates):
Dy1 0.0827 0.2553 0.0000
Dy2 0.2553 0.0827 0.0000
Dy3 0.7447 0.9173 0.0000
Dy4 0.9173 0.7447 0.0000
Er1 0.0000 0.0000 0.0000
Er2 0.1225 0.6490 0.0000
Er3 0.2952 0.4794 0.0000
Er4 0.3510 0.8775 0.0000
Er5 0.4794 0.2952 0.0000
Er6 0.5206 0.7048 0.0000
Er7 0.6490 0.1225 0.0000
Er8 0.7048 0.5206 0.0000
Er9 0.8775 0.3510 0.0000
Zn1 0.0839 0.4481 0.5000
Zn2 0.1308 0.8692 0.5000
Zn3 0.2871 0.2871 0.5000
Zn4 0.3231 0.6769 0.5000
Zn5 0.4481 0.0839 0.5000
Zn6 0.5000 0.5000 0.5000
Zn7 0.5519 0.9161 0.5000
Zn8 0.6769 0.3231 0.5000
Zn9 0.7129 0.7129 0.5000
Zn10 0.8692 0.1308 0.5000
Zn11 0.9161 0.5519 0.5000

Top 10 peaks for 2θ from 15° to 90°, most intense first:
2theta, d [Å], I (rel.)
34.71, 2.584, 100
36.74, 2.446, 87
35.15, 2.553, 83
36.27, 2.477, 38
26.03, 3.423, 36
39.69, 2.271, 36
63.52, 1.465, 34
65.40, 1.427, 31
34.31, 2.614, 31
65.05, 1.434, 30